Record 1
Starting from a structure optimized by DFT (PBE), the X-ray powder pattern of Pm4PaSn5 was computed for Cu Kα.
Neutral-atom scattering factors, no anomalous dispersion.

Top 10 peaks for 10 to 80 degrees two-theta, in order of falling intensity:
2θ (°)	I/Imax
32.44	100
36.51	37
63.15	30
55.10	22
39.80	14
52.58	13
67.92	12
67.63	12
77.57	4
25.59	2

Structural model:
Lattice parameters (Å, degrees): 3.481 3.481 22.651 90.00 90.00 90.00
Element x y z (fractional)
1 Pm 0.000 0.000 0.101
2 Pm 0.000 0.000 0.304
3 Pm 0.000 0.000 0.696
4 Pm 0.000 0.000 0.899
5 Pa 0.000 0.000 0.500
6 Sn 0.500 0.500 0.000
7 Sn 0.500 0.500 0.202
8 Sn 0.500 0.500 0.403
9 Sn 0.500 0.500 0.597
10 Sn 0.500 0.500 0.798

***

Record 2
Starting from a structure optimized by DFT (PBE), the X-ray powder pattern of PmPa2Te6 was computed for Cu Kα.
Neutral-atom scattering factors, no anomalous dispersion.

Top 10 peaks for 10 to 80 degrees two-theta, in order of falling intensity:
2θ (°)	I/Imax
19.54	100
23.23	44
32.75	44
35.07	41
36.89	40
32.05	36
44.38	33
39.39	29
39.67	22
46.75	20

Structural model:
Lattice parameters (Å, degrees): 11.779 11.779 11.779 151.63 151.63 40.56
Element x y z (fractional)
1 Pm 0.000 0.000 0.000
2 Pa 0.311 0.311 0.000
3 Pa 0.689 0.689 0.000
4 Te 0.174 0.641 0.000
5 Te 0.250 0.750 0.500
6 Te 0.359 0.359 0.532
7 Te 0.641 0.174 0.000
8 Te 0.750 0.250 0.500
9 Te 0.826 0.826 0.468

***

Record 3
Starting from a structure optimized by DFT (PBE), the X-ray powder pattern of PmPa3Te6 was computed for Cu Kα.
Neutral-atom scattering factors, no anomalous dispersion.

Top 10 peaks for 10 to 80 degrees two-theta, in order of falling intensity:
2θ (°)	I/Imax
34.65	100
23.22	61
19.51	46
39.88	29
31.97	29
38.13	26
41.05	18
45.84	17
57.27	16
52.95	14

Structural model:
Lattice parameters (Å, degrees): 9.608 9.608 4.397 90.00 90.00 108.71
Element x y z (fractional)
1 Pm 0.000 0.000 0.000
2 Pa 0.000 0.500 0.500
3 Pa 0.500 0.000 0.500
4 Pa 0.500 0.500 0.000
5 Te 0.154 0.846 0.500
6 Te 0.167 0.401 0.000
7 Te 0.401 0.167 0.000
8 Te 0.599 0.833 0.000
9 Te 0.833 0.599 0.000
10 Te 0.846 0.154 0.500

***

Record 4
Starting from a structure optimized by DFT (PBE), the X-ray powder pattern of PmPaTe2 was computed for Cu Kα.
Neutral-atom scattering factors, no anomalous dispersion.

Top 10 peaks for 10 to 80 degrees two-theta, in order of falling intensity:
2θ (°)	I/Imax
33.25	100
33.03	52
44.74	35
27.68	31
25.57	25
63.42	25
57.16	23
42.52	20
45.26	17
27.41	15

Structural model:
Lattice parameters (Å, degrees): 8.504 4.007 7.044 90.00 90.00 90.00
Element x y z (fractional)
1 Pm 0.000 0.000 0.000
2 Pm 0.500 0.000 0.000
3 Pa 0.000 0.500 0.500
4 Pa 0.500 0.500 0.500
5 Te 0.250 0.000 0.338
6 Te 0.250 0.500 0.825
7 Te 0.750 0.000 0.662
8 Te 0.750 0.500 0.175

***

Record 5
Starting from a structure optimized by DFT (PBE), the X-ray powder pattern of Pm4Pa3Te12 was computed for Cu Kα.
Neutral-atom scattering factors, no anomalous dispersion.

Top 10 peaks for 10 to 80 degrees two-theta, in order of falling intensity:
2θ (°)	I/Imax
37.87	100
24.18	60
21.60	57
30.73	53
68.39	51
10.75	51
28.70	35
36.20	27
59.43	26
45.44	23

Structural model:
Lattice parameters (Å, degrees): 10.079 10.079 10.079 109.47 109.47 109.47
Element x y z (fractional)
1 Pm 0.000 0.000 0.500
2 Pm 0.000 0.500 0.000
3 Pm 0.500 0.000 0.000
4 Pm 0.500 0.500 0.500
5 Pa 0.000 0.500 0.500
6 Pa 0.500 0.000 0.500
7 Pa 0.500 0.500 0.000
8 Te 0.129 0.323 0.806
9 Te 0.194 0.517 0.323
10 Te 0.194 0.871 0.677
11 Te 0.323 0.194 0.517
12 Te 0.323 0.806 0.129
13 Te 0.483 0.677 0.806
14 Te 0.517 0.323 0.194
15 Te 0.677 0.194 0.871
16 Te 0.677 0.806 0.483
17 Te 0.806 0.129 0.323
18 Te 0.806 0.483 0.677
19 Te 0.871 0.677 0.194

***

Record 6
Starting from a structure optimized by DFT (PBE), the X-ray powder pattern of PrPu2PaSe4 was computed for Cu Kα.
Neutral-atom scattering factors, no anomalous dispersion.

Top 10 peaks for 10 to 80 degrees two-theta, in order of falling intensity:
2θ (°)	I/Imax
30.48	100
44.03	37
26.47	28
43.21	26
54.43	13
43.38	13
71.36	12
72.52	11
25.87	10
63.48	8

Structural model:
Lattice parameters (Å, degrees): 7.115 4.118 7.295 90.00 109.22 90.00
Element x y z (fractional)
1 Pr 0.000 0.000 0.000
2 Pu 0.500 0.000 0.500
3 Pu 0.500 0.500 0.000
4 Pa 0.000 0.500 0.500
5 Se 0.253 0.000 0.746
6 Se 0.255 0.500 0.258
7 Se 0.745 0.500 0.742
8 Se 0.747 0.000 0.254

***

Record 7
Starting from a structure optimized by DFT (PBE), the X-ray powder pattern of RbPr2PaSe5 was computed for Cu Kα.
Neutral-atom scattering factors, no anomalous dispersion.

Top 10 peaks for 10 to 80 degrees two-theta, in order of falling intensity:
2θ (°)	I/Imax
23.77	100
13.11	91
34.33	62
34.08	54
33.64	48
48.64	40
41.27	34
32.98	26
69.18	21
47.83	18

Structural model:
Lattice parameters (Å, degrees): 8.628 8.628 8.628 144.03 127.53 65.26
Element x y z (fractional)
1 Rb 0.000 0.000 0.000
2 Pr 0.297 0.797 0.500
3 Pr 0.703 0.203 0.500
4 Pa 0.500 0.500 0.000
5 Se 0.113 0.351 0.762
6 Se 0.411 0.649 0.762
7 Se 0.500 0.000 0.500
8 Se 0.589 0.351 0.238
9 Se 0.887 0.649 0.238

***

Record 8
Starting from a structure optimized by DFT (PBE), the X-ray powder pattern of PrPaRh4 was computed for Cu Kα.
Neutral-atom scattering factors, no anomalous dispersion.

Top 10 peaks for 10 to 80 degrees two-theta, in order of falling intensity:
2θ (°)	I/Imax
39.32	100
33.35	47
63.63	32
70.04	25
41.15	24
59.60	18
79.83	8
20.24	4
23.41	3
53.96	1

Structural model:
Lattice parameters (Å, degrees): 5.373 5.373 5.373 60.00 60.00 60.00
Element x y z (fractional)
1 Pr 0.000 0.000 0.000
2 Pa 0.250 0.250 0.250
3 Rh 0.126 0.625 0.625
4 Rh 0.625 0.126 0.625
5 Rh 0.625 0.625 0.126
6 Rh 0.625 0.625 0.625